Starting from a crystal structure in the Materials Project, relaxed with GGA-PBE, the powder diffractogram of Hg3Sb was computed for λ = 1.5418 Å (Cu Kα).

Peak list (10 most intense, 2θ = 15–90°, by intensity)
2θ = 33.19°, rel. 100; 2θ = 69.73°, rel. 36; 2θ = 41.01°, rel. 28; 2θ = 53.66°, rel. 26; 2θ = 33.07°, rel. 25; 2θ = 59.15°, rel. 19; 2θ = 88.74°, rel. 14; 2θ = 59.38°, rel. 10; 2θ = 83.89°, rel. 8; 2θ = 88.93°, rel. 3

Lattice parameters (Å, degrees): 6.2475 6.2475 6.2475 138.74 138.74 59.77
Element x y z (fractional)
Hg 0.0000 0.0000 0.0000
Hg 0.2500 0.7500 0.5000
Hg 0.7500 0.2500 0.5000
Sb 0.5000 0.5000 0.0000

Starting from a crystal structure in the Materials Project, relaxed with GGA-PBE, the powder diffractogram of Ca5ZnN4 was computed for λ = 1.5418 Å (Cu Kα).

Peak list (10 most intense, 2θ = 15–90°, by intensity)
2θ = 45.43°, rel. 100; 2θ = 30.41°, rel. 92; 2θ = 37.72°, rel. 76; 2θ = 33.04°, rel. 68; 2θ = 30.29°, rel. 54; 2θ = 18.84°, rel. 39; 2θ = 48.39°, rel. 29; 2θ = 62.93°, rel. 29; 2θ = 66.67°, rel. 27; 2θ = 28.13°, rel. 22

Lattice parameters (Å, degrees): 7.5241 7.8211 5.9024 90.00 90.00 90.00
Element x y z (fractional)
Ca 0.0056 0.0471 0.2440
Ca 0.0056 0.4529 0.2440
Ca 0.2500 0.2500 0.6980
Ca 0.4944 0.0471 0.2440
Ca 0.4944 0.4529 0.2440
Ca 0.5056 0.5471 0.7560
Ca 0.5056 0.9529 0.7560
Ca 0.7500 0.7500 0.3020
Ca 0.9944 0.5471 0.7560
Ca 0.9944 0.9529 0.7560
Zn 0.2500 0.7500 0.2897
Zn 0.7500 0.2500 0.7103
N 0.0095 0.7500 0.0784
N 0.2500 0.5083 0.4904
N 0.2500 0.9917 0.4904
N 0.4905 0.7500 0.0784
N 0.5095 0.2500 0.9216
N 0.7500 0.0083 0.5096
N 0.7500 0.4917 0.5096
N 0.9905 0.2500 0.9216

Starting from a crystal structure in the Materials Project, relaxed with GGA-PBE, the powder diffractogram of TbAg was computed for λ = 1.5418 Å (Cu Kα).

Peak list (10 most intense, 2θ = 15–90°, by intensity)
2θ = 34.66°, rel. 100; 2θ = 62.12°, rel. 36; 2θ = 49.83°, rel. 18; 2θ = 83.53°, rel. 16; 2θ = 73.13°, rel. 11; 2θ = 24.32°, rel. 3; 2θ = 56.20°, rel. 2; 2θ = 42.79°, rel. 1; 2θ = 78.38°, rel. 1; 2θ = 88.62°, rel. 1

Lattice parameters (Å, degrees): 3.6601 3.6601 3.6601 90.00 90.00 90.00
Element x y z (fractional)
Tb 0.0000 0.0000 0.0000
Ag 0.5000 0.5000 0.5000

Starting from a crystal structure in the Materials Project, relaxed with GGA-PBE, the powder diffractogram of Tb3OsO7 was computed for λ = 1.5418 Å (Cu Kα).

Peak list (10 most intense, 2θ = 15–90°, by intensity)
2θ = 29.20°, rel. 100; 2θ = 29.35°, rel. 100; 2θ = 48.63°, rel. 54; 2θ = 34.10°, rel. 47; 2θ = 58.23°, rel. 30; 2θ = 33.61°, rel. 26; 2θ = 57.46°, rel. 26; 2θ = 57.97°, rel. 20; 2θ = 49.18°, rel. 17; 2θ = 60.89°, rel. 11

Lattice parameters (Å, degrees): 6.5095 6.5095 7.4107 90.00 90.00 69.97
Element x y z (fractional)
Tb 0.0000 0.0000 0.0000
Tb 0.0000 0.0000 0.5000
Tb 0.0532 0.4803 0.7500
Tb 0.4803 0.0532 0.2500
Tb 0.5197 0.9468 0.7500
Tb 0.9468 0.5197 0.2500
Os 0.5000 0.5000 0.0000
Os 0.5000 0.5000 0.5000
O 0.1129 0.1542 0.2500
O 0.1542 0.1129 0.7500
O 0.1773 0.5679 0.0279
O 0.1773 0.5679 0.4721
O 0.4321 0.8227 0.0279
O 0.4321 0.8227 0.4721
O 0.4558 0.5442 0.7500
O 0.5442 0.4558 0.2500
O 0.5679 0.1773 0.5279
O 0.5679 0.1773 0.9721
O 0.8227 0.4321 0.5279
O 0.8227 0.4321 0.9721
O 0.8458 0.8871 0.2500
O 0.8871 0.8458 0.7500

Starting from a crystal structure in the Materials Project, relaxed with GGA-PBE, the powder diffractogram of DySi2Au2 was computed for λ = 1.5418 Å (Cu Kα).

Peak list (10 most intense, 2θ = 15–90°, by intensity)
2θ = 34.47°, rel. 100; 2θ = 42.36°, rel. 33; 2θ = 72.40°, rel. 24; 2θ = 17.26°, rel. 20; 2θ = 56.03°, rel. 20; 2θ = 34.93°, rel. 19; 2θ = 62.35°, rel. 16; 2θ = 33.55°, rel. 12; 2θ = 22.56°, rel. 12; 2θ = 46.42°, rel. 12

Lattice parameters (Å, degrees): 5.9580 5.9580 5.9580 138.03 138.03 60.86
Element x y z (fractional)
Dy 0.0000 0.0000 0.0000
Si 0.3883 0.3883 0.0000
Si 0.6117 0.6117 0.0000
Au 0.2500 0.7500 0.5000
Au 0.7500 0.2500 0.5000